# 1
The following is a theoretical powder diffraction line list of Hg2Au3. It was derived from DFT lattice parameters and positions (GGA-PBE), using Cu Ka.
Lines closer than 0.1° are merged.

a b c (Å): 6.552 6.552 6.552
angles (deg): 66.54 66.54 66.54
Positions (direct):
Hg: 0.092 0.092 0.092
Hg: 0.408 0.408 0.408
Hg: 0.592 0.592 0.592
Hg: 0.908 0.908 0.908
Au: 0.019 0.250 0.481
Au: 0.250 0.481 0.019
Au: 0.481 0.019 0.250
Au: 0.519 0.981 0.750
Au: 0.750 0.519 0.981
Au: 0.981 0.750 0.519

Largest 10 diffraction maxima, sorted by position, 2θ = 5–70°:
d (Å)  I/Imax
3.594  45
2.932  100
2.881  48
2.535  89
2.408  51
2.325  82
2.248  64
2.074  51
2.001  74
1.861  42

# 2
The following is a theoretical powder diffraction line list of Tm4ZnPt3. It was derived from DFT lattice parameters and positions (GGA-PBE), using Cu Ka.
Lines closer than 0.1° are merged.

a b c (Å): 3.700 4.440 10.561
angles (deg): 90.00 90.00 90.00
Positions (direct):
Tm: 0.000 0.000 0.000
Tm: 0.000 0.500 0.271
Tm: 0.500 0.000 0.486
Tm: 0.500 0.500 0.773
Zn: 0.000 0.000 0.710
Pt: 0.000 0.500 0.555
Pt: 0.500 0.000 0.221
Pt: 0.500 0.500 0.041

Largest 10 diffraction maxima, sorted by position, 2θ = 5–70°:
d (Å)  I/Imax
2.745  100
2.640  29
2.550  19
2.269  25
2.220  33
2.212  71
1.850  19
1.699  16
1.421  16
1.397  12

Which formula does entry 2 have? Tm4ZnPt3